For Mg2SiO4, a GGA-PBE-relaxed structure gives the theoretical X-ray diffraction stick pattern in this record (Cu Kα (weighted mean of Kα1 and Kα2)).
Neutral-atom scattering factors, no anomalous dispersion.

Principal peaks in the range 10° ≤ 2θ ≤ 90°, in order of rising 2θ:
20.24°, d = 4.387 Å, intensity 64, (1 1 0)
35.14°, d = 2.554 Å, intensity 73, (1 3 0)
37.72°, d = 2.385 Å, intensity 100, (1 1 1)
44.58°, d = 2.033 Å, intensity 61, (1 4 0)
49.39°, d = 1.845 Å, intensity 69, (2 1 1)
52.72°, d = 1.736 Å, intensity 84, (2 2 1)
64.57°, d = 1.443 Å, intensity 52, (1 5 1)
65.73°, d = 1.421 Å, intensity 30, (0 0 2)

Structural model:
a = 5.045 Å, b = 8.883 Å, c = 2.841 Å
α = 90.00°, β = 90.00°, γ = 90.00°
Fractional coordinates of all 14 atoms:
1 Mg 0.064 0.184 0.000
2 Mg 0.436 0.684 0.000
3 Mg 0.564 0.316 0.000
4 Mg 0.936 0.816 0.000
5 Si 0.000 0.500 0.500
6 Si 0.500 0.000 0.500
7 O 0.138 0.683 0.500
8 O 0.225 0.450 0.000
9 O 0.275 0.950 0.000
10 O 0.362 0.183 0.500
11 O 0.638 0.817 0.500
12 O 0.725 0.050 0.000
13 O 0.775 0.550 0.000
14 O 0.862 0.317 0.500